(1)
Structure and calculated powder diffractogram of CaTeSe (a DFT-relaxed cell (PBE, Alexandria); Cu Kα (λ = 1.5418 Å)).

The 10 most intense peaks (2θ = 10–90°), in order of falling intensity:
2theta	intensity	(hkl)
38.0	100	1 0 2
22.6	92	1 0 0
32.1	88	1 1 0
61.2	48	2 1 2
44.6	37	1 1 2
46.1	32	2 0 0
30.1	27	0 0 2
27.2	26	1 0 1
51.9	20	2 1 0
56.0	19	2 0 2

a = 3.940 Å, b = 3.940 Å, c = 5.931 Å
α = 90.00°, β = 90.00°, γ = 90.00°
Sites, in units of the cell vectors:
Ca (0.000, 0.000, 0.000)
Te (0.500, 0.500, 0.321)
Se (0.500, 0.500, 0.814)

(2)
Structure and calculated powder diffractogram of Ca3TeSe2 (a DFT-relaxed cell (PBE, Alexandria); Cu Kα (λ = 1.5418 Å)).

The 10 most intense peaks (2θ = 10–90°), in order of falling intensity:
2theta	intensity	(hkl)
29.3	100	1 0 3
41.8	92	1 2 3
29.1	51	0 2 0
25.2	42	0 1 3
68.7	23	2 2 6
51.9	19	2 2 0
51.7	19	0 2 6
42.0	18	2 0 0
76.2	17	2 4 0
68.4	16	1 4 3

a = 4.306 Å, b = 6.137 Å, c = 12.974 Å
α = 90.00°, β = 90.00°, γ = 90.00°
Sites, in units of the cell vectors:
Ca (0.000, 0.000, 0.000)
Ca (0.000, 0.000, 0.322)
Ca (0.000, 0.000, 0.678)
Ca (0.500, 0.500, 0.178)
Ca (0.500, 0.500, 0.500)
Ca (0.500, 0.500, 0.822)
Te (0.000, 0.500, 0.000)
Te (0.500, 0.000, 0.500)
Se (0.000, 0.500, 0.335)
Se (0.000, 0.500, 0.665)
Se (0.500, 0.000, 0.165)
Se (0.500, 0.000, 0.835)

(3)
Structure and calculated powder diffractogram of CaTl3Se (a DFT-relaxed cell (PBE, Alexandria); Cu Kα (λ = 1.5418 Å)).

The 10 most intense peaks (2θ = 10–90°), in order of falling intensity:
2theta	intensity	(hkl)
26.7	100	1 1 1
30.9	86	2 0 0
44.2	64	2 2 0
15.3	49	1 0 0
52.4	48	3 1 1
73.0	29	4 2 0
34.6	27	2 1 0
54.9	23	2 2 2
81.4	22	4 2 2
70.9	20	3 3 1

a = 5.793 Å, b = 5.793 Å, c = 5.793 Å
α = 90.00°, β = 90.00°, γ = 90.00°
Sites, in units of the cell vectors:
Ca (0.000, 0.000, 0.000)
Tl (0.000, 0.500, 0.500)
Tl (0.500, 0.000, 0.500)
Tl (0.500, 0.500, 0.000)
Se (0.500, 0.500, 0.500)